1.
Structure and computed powder diffraction line list of Li4MnCo2O7 (a cell relaxed with GGA+U; a wavelength of 1.5418 Å).

Peak list (10 most intense, 10° ≤ 2θ ≤ 80°, by angle)
d 4.866, 18.23°, intensity 100
d 2.595, 34.57°, intensity 13
d 2.484, 36.16°, intensity 24
d 2.433, 36.94°, intensity 9
d 2.176, 41.49°, intensity 27
d 2.057, 44.01°, intensity 53
d 1.936, 46.94°, intensity 8
d 1.591, 57.96°, intensity 9
d 1.497, 61.97°, intensity 14
d 1.493, 62.19°, intensity 13

Structural model:
Cell: 5.116 5.116 18.342 Å, 97.66 97.66 32.85°
Fractional positions:
Li1 0.000 0.000 0.000
Li2 0.000 0.000 0.500
Li3 0.136 0.136 0.296
Li4 0.295 0.295 0.564
Li5 0.428 0.428 0.846
Li6 0.572 0.572 0.154
Li7 0.705 0.705 0.436
Li8 0.864 0.864 0.704
Mn1 0.285 0.285 0.075
Mn2 0.715 0.715 0.925
Co1 0.143 0.143 0.777
Co2 0.419 0.419 0.372
Co3 0.581 0.581 0.628
Co4 0.857 0.857 0.223
O1 0.052 0.052 0.390
O2 0.084 0.084 0.896
O3 0.206 0.206 0.680
O4 0.223 0.223 0.176
O5 0.342 0.342 0.964
O6 0.354 0.354 0.458
O7 0.485 0.485 0.247
O8 0.515 0.515 0.753
O9 0.646 0.646 0.542
O10 0.658 0.658 0.036
O11 0.777 0.777 0.824
O12 0.794 0.794 0.320
O13 0.916 0.916 0.104
O14 0.948 0.948 0.610

2.
Structure and computed powder diffraction line list of Li7Mn2Co3O12 (a cell relaxed with GGA+U; a wavelength of 1.5418 Å).

Peak list (10 most intense, 10° ≤ 2θ ≤ 80°, by angle)
d 4.822, 18.40°, intensity 100
d 2.516, 35.69°, intensity 28
d 2.451, 36.66°, intensity 12
d 2.099, 43.10°, intensity 30
d 2.085, 43.40°, intensity 29
d 2.039, 44.43°, intensity 27
d 1.484, 62.58°, intensity 8
d 1.479, 62.85°, intensity 8
d 1.474, 63.07°, intensity 8
d 1.462, 63.66°, intensity 8

Structural model:
Cell: 2.895 11.833 12.852 Å, 103.23 90.10 91.66°
Fractional positions:
Li1 0.000 0.000 0.000
Li2 0.001 0.579 0.333
Li3 0.006 0.084 0.342
Li4 0.019 0.243 0.001
Li5 0.479 0.760 0.501
Li6 0.495 0.917 0.158
Li7 0.498 0.582 0.835
Li8 0.500 0.000 0.500
Li9 0.502 0.418 0.165
Li10 0.505 0.083 0.842
Li11 0.521 0.240 0.499
Li12 0.981 0.757 0.999
Li13 0.994 0.916 0.658
Li14 0.999 0.421 0.667
Mn1 0.014 0.162 0.659
Mn2 0.484 0.839 0.841
Mn3 0.516 0.161 0.159
Mn4 0.986 0.838 0.341
Co1 0.000 0.500 0.000
Co2 0.018 0.333 0.333
Co3 0.485 0.669 0.166
Co4 0.500 0.500 0.500
Co5 0.515 0.331 0.834
Co6 0.982 0.667 0.667
O1 0.004 0.055 0.169
O2 0.007 0.551 0.166
O3 0.008 0.610 0.503
O4 0.009 0.130 0.513
O5 0.027 0.277 0.168
O6 0.033 0.213 0.825
O7 0.465 0.787 0.673
O8 0.473 0.722 0.332
O9 0.479 0.618 0.002
O10 0.491 0.449 0.330
O11 0.491 0.870 0.986
O12 0.496 0.944 0.332
O13 0.504 0.056 0.668
O14 0.509 0.130 0.014
O15 0.509 0.551 0.670
O16 0.521 0.382 0.998
O17 0.527 0.278 0.668
O18 0.535 0.213 0.327
O19 0.967 0.787 0.175
O20 0.973 0.723 0.832
O21 0.991 0.870 0.487
O22 0.992 0.390 0.497
O23 0.993 0.449 0.834
O24 0.996 0.945 0.831